Structure and computed X-ray diffraction stick pattern of Sr2SnSe3F2 (a crystal structure in the Materials Project, relaxed with PBE; CuKα).

Principal peaks in the range 10 to 80 degrees two-theta, sorted by position:
| 2theta | I (rel.) | (hkl) |
| --- | --- | --- |
| 27.1 | 26 | 0 6 0 |
| 28.8 | 100 | 0 0 2 |
| 30.5 | 71 | 1 5 1 |
| 40.0 | 38 | 0 6 2 |
| 41.2 | 46 | 2 0 2 |
| 46.3 | 23 | 1 9 1 |
| 52.1 | 57 | 3 5 1 |
| 55.2 | 16 | 0 10 2 |
| 68.5 | 11 | 3 5 3 |
| 71.3 | 18 | 3 11 1 |

Crystal structure
```
data_Sr2SnSe3F2
_symmetry_space_group_name_H-M 'P n m a'
_symmetry_Int_Tables_number 62
_symmetry_space_group_name_Hall '-P 2ac 2n'
_cell_length_a 6.1984
_cell_length_b 19.7356
_cell_length_c 6.1925
_cell_angle_alpha 90.00
_cell_angle_beta 90.00
_cell_angle_gamma 90.00
loop_
_atom_site_label
_atom_site_fract_x
_atom_site_fract_y
_atom_site_fract_z
Sr1 0.2458 0.0695 0.0047
Sn1 0.1461 0.7500 0.9196
Se1 0.2335 0.7500 0.5072
Se2 0.2428 0.1306 0.5126
F1 0.0013 0.0007 0.7467
```